Record 1
This entry pairs a crystal structure of BePbF4 with its computed XRD peak list. Radiation: Cu Kα (λ = 1.5418 Å). Structure: DFT lattice parameters and positions (PBE).
Intensities are scaled so that the largest is 100.

Crystal structure
```
BePbF4
1.0
9.2368 0.0000 0.0000
0.0000 5.4037 0.0000
0.0000 0.0000 7.3673
Be Pb F
4 4 16
Direct
0.0791 0.2500 0.2493
0.4209 0.7500 0.7493
0.5791 0.2500 0.2507
0.9209 0.7500 0.7507
0.2150 0.2500 0.7500
0.2850 0.7500 0.2500
0.7150 0.2500 0.7500
0.7850 0.7500 0.2500
0.0108 0.5080 0.7520
0.0108 0.9920 0.7520
0.1833 0.2500 0.4185
0.1859 0.2500 0.0824
0.3141 0.7500 0.5824
0.3167 0.7500 0.9185
0.4892 0.0080 0.2520
0.4892 0.4920 0.2520
0.5108 0.5080 0.7480
0.5108 0.9920 0.7480
0.6833 0.2500 0.0815
0.6859 0.2500 0.4176
0.8141 0.7500 0.9176
0.8167 0.7500 0.5815
0.9892 0.0080 0.2480
0.9892 0.4920 0.2480
```

Peak list (10 most intense, 2θ from 10° to 90°, sorted by position)
2θ/deg	Rel. int.
19.2	53.3
20.4	100.0
24.2	60.3
25.4	30.3
28.2	96.4
33.2	22.7
38.6	41.3
40.3	33.3
45.1	41.1
46.1	35.1

Record 2
This entry pairs a crystal structure of BeTl2PbF6 with its computed XRD peak list. Radiation: Cu Kα (λ = 1.5418 Å). Structure: DFT lattice parameters and positions (PBE).
Intensities are scaled so that the largest is 100.

Crystal structure
```
BeTl2PbF6
1.0
4.2794 -4.2782 0.0000
4.2794 4.2782 0.0000
-4.2707 0.0000 4.2905
Be Tl Pb F
1 2 1 6
Direct
0.0000 0.0000 0.0000
0.2497 0.7503 0.5000
0.7503 0.2497 0.5000
0.5000 0.5000 0.0000
0.2122 0.2122 0.4251
0.2116 0.2116 0.9995
0.2118 0.7882 0.0000
0.7882 0.2118 0.0000
0.7884 0.7884 0.0005
0.7878 0.7878 0.5749
```

Peak list (10 most intense, 2θ from 10° to 90°, sorted by position)
2θ/deg	Rel. int.
17.9	17.7
29.5	100.0
34.7	11.2
36.3	9.9
42.1	9.7
42.2	19.2
52.3	20.2
52.4	20.1
69.5	13.4
84.7	11.8

Record 3
This entry pairs a crystal structure of BePd2RuF with its computed XRD peak list. Radiation: Cu Kα (λ = 1.5418 Å). Structure: DFT lattice parameters and positions (PBE).
Intensities are scaled so that the largest is 100.

Crystal structure
```
BePd2RuF
1.0
4.3938 0.0000 0.0000
0.0000 4.3938 0.0000
0.0000 0.0000 3.9495
Be Pd Ru F
1 2 1 1
Direct
0.0000 0.0000 0.0000
0.0000 0.5000 0.5000
0.5000 0.0000 0.5000
0.5000 0.5000 0.0000
0.5000 0.5000 0.5000
```

Peak list (10 most intense, 2θ from 10° to 90°, sorted by position)
2θ/deg	Rel. int.
20.2	34.4
22.5	15.6
36.8	100.0
41.1	46.4
46.0	16.7
59.5	15.0
63.3	24.7
72.1	27.6
78.3	13.1
79.0	10.7

Record 4
This entry pairs a crystal structure of Be2TlPdF8 with its computed XRD peak list. Radiation: Cu Kα (λ = 1.5418 Å). Structure: DFT lattice parameters and positions (PBE).
Intensities are scaled so that the largest is 100.

Crystal structure
```
Be2TlPdF8
1.0
4.0085 -2.7322 0.0000
4.0085 2.7322 0.0000
-0.9825 0.0000 8.2391
Be Tl Pd F
2 1 1 8
Direct
0.1204 0.1204 0.2943
0.8796 0.8796 0.7057
0.5000 0.5000 0.0000
0.5000 0.5000 0.5000
0.1887 0.1887 0.1352
0.2264 0.7554 0.6855
0.2446 0.7736 0.3145
0.2548 0.2548 0.4585
0.7452 0.7452 0.5415
0.7554 0.2264 0.6855
0.7736 0.2446 0.3145
0.8113 0.8113 0.8648
```

Peak list (10 most intense, 2θ from 10° to 90°, sorted by position)
2θ/deg	Rel. int.
19.7	100.0
21.6	38.6
22.3	50.7
28.4	53.3
30.4	51.9
32.8	19.4
37.7	30.0
39.6	36.2
44.5	20.4
47.3	36.4

Record 5
This entry pairs a crystal structure of RbPrBe2F8 with its computed XRD peak list. Radiation: Cu Kα (λ = 1.5418 Å). Structure: DFT lattice parameters and positions (PBE).
Intensities are scaled so that the largest is 100.

Crystal structure
```
RbPrBe2F8
1.0
2.5548 1.4750 8.3148
-2.5548 1.4750 8.3148
0.0000 -2.9501 8.3148
Rb Pr Be F
1 1 2 8
Direct
0.0000 0.0000 0.0000
0.5000 0.5000 0.5000
0.2492 0.2492 0.2492
0.7508 0.7508 0.7508
0.0625 0.4887 0.7773
0.2227 0.5113 0.9375
0.3087 0.3087 0.3087
0.4887 0.7773 0.0625
0.5113 0.9375 0.2227
0.6913 0.6913 0.6913
0.7773 0.0625 0.4887
0.9375 0.2227 0.5113
```

Peak list (10 most intense, 2θ from 10° to 90°, sorted by position)
2θ/deg	Rel. int.
10.6	19.0
21.3	72.3
24.7	100.0
35.2	58.8
41.5	70.1
41.6	22.4
55.5	22.5
57.1	17.3
63.0	20.9
67.4	16.4

Record 6
This entry pairs a crystal structure of Be2PtF with its computed XRD peak list. Radiation: Cu Kα (λ = 1.5418 Å). Structure: DFT lattice parameters and positions (PBE).
Intensities are scaled so that the largest is 100.

Crystal structure
```
Be2PtF
1.0
2.7379 0.0000 0.0000
0.0000 4.0295 0.0000
-0.0166 0.0000 8.1527
Be Pt F
4 2 2
Direct
0.0006 0.0000 0.1185
0.0018 0.9637 0.6289
0.9982 0.4637 0.3711
0.9994 0.5000 0.8815
0.4981 0.0012 0.8632
0.5019 0.5012 0.1368
0.1993 0.1780 0.4821
0.8007 0.6780 0.5179
```

Peak list (10 most intense, 2θ from 10° to 90°, sorted by position)
2θ/deg	Rel. int.
10.9	100.0
24.6	61.1
31.2	52.0
32.7	21.4
33.0	22.8
34.6	21.3
41.4	32.6
45.0	11.1
45.8	46.1
46.4	10.4